[1]
Structure and calculated powder XRD pattern of EuAsO3 (a cell relaxed with PBE; Cu Kα (λ = 1.5418 Å)).

Most intense lines, 10 to 90 degrees two-theta, in order of rising 2θ:
hkl	2theta	intensity
1 0 0	22.2	8
1 1 0	31.6	100
1 1 1	39.0	13
2 0 0	45.4	31
2 1 1	56.4	40
2 2 0	66.1	19
3 1 0	75.1	17
2 2 2	83.8	6

Unit cell a=3.9985 b=3.9985 c=3.9985 alpha=90.00 beta=90.00 gamma=90.00
Space group Pm-3m (No. 221)
Symmetry-distinct sites (fractional):
Eu (0.0000, 0.0000, 0.0000) x1
As (0.5000, 0.5000, 0.5000) x1
O (0.0000, 0.5000, 0.5000) x3

---

[2]
Structure and calculated powder XRD pattern of MnSe (a cell relaxed with PBE; Cu Kα (λ = 1.5418 Å)).

Most intense lines, 10 to 90 degrees two-theta, in order of rising 2θ:
hkl	2theta	intensity
0 0 1	14.2	69
1 0 1	28.5	100
1 1 1	38.1	22
1 1 2	45.9	74
2 0 0	50.6	47
2 1 1	59.0	26
2 2 0	74.3	21
2 0 4	81.5	18

Unit cell a=3.6133 b=3.6133 c=6.2464 alpha=90.00 beta=90.00 gamma=90.00
Space group P4/nmm (No. 129, origin choice 2)
Symmetry-distinct sites (fractional):
Mn (0.2500, 0.7500, 0.0000) x2
Se (0.2500, 0.2500, 0.2497) x2

---

[3]
Structure and calculated powder XRD pattern of H6PbCNCl3 (a cell relaxed with PBE; Cu Kα (λ = 1.5418 Å)).

Most intense lines, 10 to 90 degrees two-theta, in order of rising 2θ:
hkl	2theta	intensity
0 0 1	15.1	48
1 0 0	15.4	100
0 1 1	21.6	77
1 1 0	21.8	35
0 2 0	31.1	44
2 0 1	34.7	34
2 1 0	34.8	35
2 1 -1	38.2	34

Unit cell a=5.7528 b=5.7647 c=5.8552 alpha=90.00 beta=90.03 gamma=90.00
Space group Pm (No. 6)
Symmetry-distinct sites (fractional):
H (0.0000, 0.0000, 0.0000) x1
H (0.0587, 0.1457, 0.7621) x2
H (0.6423, 0.1559, 0.8310) x2
H (0.7085, 0.0000, 0.5740) x1
Pb (0.3030, 0.5000, 0.2675) x1
C (0.7233, 0.0000, 0.7604) x1
N (0.9740, 0.0000, 0.8243) x1
Cl (0.2569, 0.5000, 0.7591) x1
Cl (0.2582, 0.0000, 0.3036) x1
Cl (0.8009, 0.5000, 0.2232) x1